This entry pairs a crystal structure of KRb2PrBr6 with its computed X-ray powder pattern. Radiation: Cu Kα (λ = 1.5418 Å). Structure: DFT lattice parameters and positions (GGA-PBE).

Structural model:
```
data_KRb2PrBr6
_chemical_formula_sum 'K2 Rb4 Pr2 Br12'
_cell_length_a 8.176
_cell_length_b 8.659
_cell_length_c 14.096
_cell_angle_alpha 90.00
_cell_angle_beta 124.16
_cell_angle_gamma 90.00
_symmetry_space_group_name_H-M 'P 1 21/c 1'
_symmetry_Int_Tables_number 14
_symmetry_space_group_name_Hall '-P 2ybc'
loop_
_atom_site_label
_atom_site_type_symbol
_atom_site_fract_x
_atom_site_fract_y
_atom_site_fract_z
_atom_site_occupancy
K1 K 0.000 0.000 0.000 1
Rb1 Rb 0.215 0.075 0.744 1
Pr1 Pr 0.500 0.000 0.500 1
Br1 Br 0.157 0.185 0.445 1
Br2 Br 0.256 0.719 0.432 1
Br3 Br 0.388 0.046 0.265 1
```

Main lines, sorted by position (10° ≤ 2θ ≤ 80°):
- (0 1 1), 12.73°, I = 74.1
- (1 1 1), 21.17°, I = 41.1
- (2 1 -1), 25.13°, I = 87.7
- (1 0 -4), 25.60°, I = 100.0
- (2 2 -2), 30.07°, I = 94.0
- (0 0 4), 30.66°, I = 52.7
- (1 3 0), 33.77°, I = 50.1
- (3 1 -1), 37.59°, I = 60.7
- (3 1 -5), 38.21°, I = 41.1
- (1 2 4), 45.28°, I = 48.1